Entry 1:
Structure and theoretical XRD peak list of Fe7As6O24 (the GGA+U geometry in Alexandria; Cu Ka).
Neutral-atom scattering factors, no anomalous dispersion.

Cell and atoms:
```
data_Fe7As6O24
_cell_length_a 6.6976
_cell_length_b 8.2349
_cell_length_c 9.8227
_cell_angle_alpha 104.75
_cell_angle_beta 107.83
_cell_angle_gamma 101.79
_space_group_name_H-M_alt 'P -1'
_space_group_IT_number 2
loop_
_space_group_symop_operation_xyz
'x,y,z'
'-x,-y,-z'
loop_
_atom_site_label
_atom_site_type_symbol
_atom_site_fract_x
_atom_site_fract_y
_atom_site_fract_z
Fe1 Fe 0.0000 0.0000 0.0000
Fe2 Fe 0.0448 0.7201 0.5253
Fe3 Fe 0.2776 0.8027 0.2881
Fe4 Fe 0.3805 0.4537 0.1110
As1 As 0.0990 0.5993 0.8343
As2 As 0.2292 0.1524 0.7703
As3 As 0.3965 0.2301 0.3708
O1 O 0.0086 0.1980 0.6557
O2 O 0.0677 0.5493 0.6445
O3 O 0.1299 0.5344 0.1556
O4 O 0.1363 0.8101 0.9283
O5 O 0.2100 0.9378 0.6988
O6 O 0.2236 0.2028 0.9522
O7 O 0.2441 0.2840 0.4753
O8 O 0.2616 0.0229 0.2349
O9 O 0.3226 0.5314 0.9175
O10 O 0.3537 0.7587 0.4989
O11 O 0.4476 0.3736 0.2790
O12 O 0.4752 0.2761 0.7766
```

Top 12 peaks for 2θ = 10–80°, sorted by position:
two_theta, intensity, h k l
23.51, 14, 0 2 0
26.88, 8, 1 -1 2
27.22, 23, 2 0 -1
28.13, 20, 2 -1 0
28.66, 100, 0 2 1
29.54, 16, 1 -2 2
30.28, 12, -2 1 2
31.91, 17, 2 1 -2
33.03, 10, 1 2 -3
34.40, 14, 0 3 -2
36.03, 11, -2 2 2
55.51, 12, -4 1 1


Entry 2:
Structure and theoretical XRD peak list of FeAsO2 (the GGA+U geometry in Alexandria; Cu Ka).
Neutral-atom scattering factors, no anomalous dispersion.

Cell and atoms:
```
data_FeAsO2
_cell_length_a 2.9221
_cell_length_b 2.9221
_cell_length_c 18.5627
_cell_angle_alpha 90.00
_cell_angle_beta 90.00
_cell_angle_gamma 120.00
_space_group_name_H-M_alt 'R -3 m'
_space_group_IT_number 166
_space_group_name_Hall '-R 3 2"'
loop_
_atom_site_label
_atom_site_type_symbol
_atom_site_fract_x
_atom_site_fract_y
_atom_site_fract_z
Fe1 Fe 0.0000 0.0000 0.0000
As1 As 0.0000 0.0000 0.5000
O1 O 0.0000 0.0000 0.3866
```

Top 12 peaks for 2θ = 10–80°, sorted by position:
two_theta, intensity, h k l
28.86, 48, 0 0 6
35.81, 10, 1 0 1
36.81, 100, 0 1 2
40.61, 42, 1 0 4
43.90, 3, 0 0 9
53.59, 42, 0 1 8
59.78, 5, 0 0 12
62.00, 24, 1 0 10
63.69, 25, 1 1 0
71.40, 21, 1 1 6
75.89, 11, 2 0 2
78.32, 6, 0 2 4


Entry 3:
Structure and theoretical XRD peak list of FeAsO4 (the GGA+U geometry in Alexandria; Cu Ka).
Neutral-atom scattering factors, no anomalous dispersion.

Cell and atoms:
```
data_FeAsO4
_cell_length_a 4.4127
_cell_length_b 4.4127
_cell_length_c 8.8317
_cell_angle_alpha 90.00
_cell_angle_beta 90.00
_cell_angle_gamma 90.00
_space_group_name_H-M_alt 'I -4 2 m'
_space_group_IT_number 121
_space_group_name_Hall 'I -4 2'
loop_
_atom_site_label
_atom_site_type_symbol
_atom_site_fract_x
_atom_site_fract_y
_atom_site_fract_z
Fe1 Fe 0.0000 0.0000 0.0000
As1 As 0.0000 0.0000 0.5000
O1 O 0.2314 0.2314 0.3924
```

Top 12 peaks for 2θ = 10–80°, sorted by position:
two_theta, intensity, h k l
20.11, 100, 0 0 2
22.52, 7, 1 0 1
28.61, 67, 1 1 0
35.22, 92, 1 1 2
40.89, 11, 0 0 4
45.98, 28, 2 0 2
50.65, 26, 1 1 4
59.21, 44, 2 2 0
63.21, 17, 2 2 2
67.07, 10, 3 1 0
70.80, 30, 3 1 2
78.04, 10, 2 0 6


Entry 4:
Structure and theoretical XRD peak list of Fe4As3O23 (the GGA+U geometry in Alexandria; Cu Ka).
Neutral-atom scattering factors, no anomalous dispersion.

Cell and atoms:
```
data_Fe4As3O23
_cell_length_a 7.9079
_cell_length_b 7.9079
_cell_length_c 7.9079
_cell_angle_alpha 90.00
_cell_angle_beta 90.00
_cell_angle_gamma 90.00
_space_group_name_H-M_alt 'P -4 3 m'
_space_group_IT_number 215
_space_group_name_Hall 'P -4 2 3'
loop_
_atom_site_label
_atom_site_type_symbol
_atom_site_fract_x
_atom_site_fract_y
_atom_site_fract_z
Fe1 Fe 0.1358 0.1358 0.1358
As1 As 0.0000 0.0000 0.5000
O1 O 0.0000 0.5000 0.5000
O2 O 0.1157 0.1157 0.8843
O3 O 0.1279 0.1279 0.3789
O4 O 0.4207 0.4207 0.5793
```

Top 12 peaks for 2θ = 10–80°, sorted by position:
two_theta, intensity, h k l
11.19, 100, 1 0 0
19.44, 38, 1 1 1
22.49, 28, 2 0 0
27.63, 20, 2 1 1
32.01, 24, 2 2 0
34.01, 8, 3 0 0
35.91, 17, 3 1 0
37.73, 19, 3 1 1
42.79, 9, 3 2 1
51.70, 10, 4 2 0
58.34, 9, 4 3 0
66.94, 13, 4 4 0